1.
For Er2Pd9Pt, a GGA-PBE-relaxed structure gives the simulated powder diffraction line list in this record (λ = 1.5418 Å (Cu Kα)).

Most intense lines, 2θ = 10–90°, sorted by position:
2θ/deg	d [Å]	I/Imax
21.93	4.054	5.2
31.20	2.866	4.5
38.46	2.340	100.0
44.58	2.033	16.1
44.78	2.024	32.6
65.03	1.434	20.6
65.19	1.431	10.5
78.02	1.225	11.8
78.31	1.221	24.6
82.42	1.170	10.6

Cell and atoms:
Unit cell a=4.048 b=4.048 c=12.196 alpha=90.00 beta=90.00 gamma=90.00
Space group P4/mmm (No. 123)
One atom of each set of equivalent atoms:
1 Er 0.000 0.000 0.171 (multiplicity 2)
2 Pd 0.000 0.500 0.000 (multiplicity 2)
3 Pd 0.000 0.500 0.340 (multiplicity 4)
4 Pd 0.500 0.500 0.171 (multiplicity 2)
5 Pd 0.500 0.500 0.500 (multiplicity 1)
6 Pt 0.000 0.000 0.500 (multiplicity 1)

---

2.
For Er4Pd3Pt3, a GGA-PBE-relaxed structure gives the simulated powder diffraction line list in this record (λ = 1.5418 Å (Cu Kα)).

Most intense lines, 2θ = 10–90°, sorted by position:
2θ/deg	d [Å]	I/Imax
23.31	3.817	6.4
26.97	3.305	11.9
35.94	2.499	100.0
43.28	2.091	27.0
53.70	1.707	31.6
68.01	1.378	15.6
69.68	1.349	14.8
72.97	1.297	5.8
80.97	1.187	19.2
82.55	1.169	7.1

Cell and atoms:
Unit cell a=9.349 b=9.349 c=9.349 alpha=90.00 beta=90.00 gamma=90.00
Space group I-43d (No. 220)
One atom of each set of equivalent atoms:
1 Er 0.122 0.122 0.122 (multiplicity 16)
2 Pd 0.000 0.250 0.375 (multiplicity 12)
3 Pt 0.000 0.250 0.875 (multiplicity 12)

---

3.
For ErPdPt, a GGA-PBE-relaxed structure gives the simulated powder diffraction line list in this record (λ = 1.5418 Å (Cu Kα)).

Most intense lines, 2θ = 10–90°, sorted by position:
2θ/deg	d [Å]	I/Imax
27.41	3.254	15.1
36.13	2.486	89.4
37.53	2.397	43.9
39.06	2.306	100.0
39.59	2.276	21.5
40.72	2.216	43.0
51.88	1.763	16.5
56.57	1.627	27.2
73.01	1.296	16.0
77.64	1.230	19.7

Cell and atoms:
Unit cell a=4.431 b=9.011 c=5.660 alpha=90.00 beta=90.00 gamma=90.00
Space group Cmcm (No. 63)
One atom of each set of equivalent atoms:
1 Er 0.000 0.189 0.250 (multiplicity 4)
2 Pd 0.000 0.114 0.750 (multiplicity 4)
3 Pt 0.000 0.500 0.000 (multiplicity 4)

---

4.
For Er3PdPt, a GGA-PBE-relaxed structure gives the simulated powder diffraction line list in this record (λ = 1.5418 Å (Cu Kα)).

Most intense lines, 2θ = 10–90°, sorted by position:
2θ/deg	d [Å]	I/Imax
25.13	3.543	28.5
30.04	2.975	20.2
32.67	2.741	21.3
32.80	2.731	20.5
33.59	2.668	19.3
35.16	2.552	100.0
38.16	2.358	17.0
40.33	2.236	18.4
44.18	2.050	27.8
70.51	1.336	17.4

Cell and atoms:
Unit cell a=4.100 b=7.043 c=8.648 alpha=90.00 beta=90.00 gamma=90.00
Space group Pmmn (No. 59, origin choice 2)
One atom of each set of equivalent atoms:
1 Er 0.250 0.011 0.173 (multiplicity 4)
2 Er 0.250 0.250 0.552 (multiplicity 2)
3 Pd 0.250 0.750 0.667 (multiplicity 2)
4 Pt 0.250 0.250 0.899 (multiplicity 2)

---

5.
For Er2Pd6Pt, a GGA-PBE-relaxed structure gives the simulated powder diffraction line list in this record (λ = 1.5418 Å (Cu Kα)).

Most intense lines, 2θ = 10–90°, sorted by position:
2θ/deg	d [Å]	I/Imax
37.96	2.370	100.0
42.55	2.125	16.4
43.04	2.102	18.2
46.68	1.946	14.2
62.12	1.494	10.6
65.35	1.428	10.3
74.82	1.269	10.6
75.51	1.259	13.2
80.75	1.190	10.7
81.16	1.185	9.7

Cell and atoms:
Unit cell a=4.203 b=11.676 c=12.748 alpha=90.00 beta=90.00 gamma=90.00
Space group Fmmm (No. 69)
One atom of each set of equivalent atoms:
1 Er 0.000 0.000 0.148 (multiplicity 8)
2 Pd 0.000 0.166 0.330 (multiplicity 16)
3 Pd 0.000 0.175 0.000 (multiplicity 8)
4 Pt 0.000 0.000 0.500 (multiplicity 4)

---

6.
For ErPd23Pt6, a GGA-PBE-relaxed structure gives the simulated powder diffraction line list in this record (λ = 1.5418 Å (Cu Kα)).

Most intense lines, 2θ = 10–90°, sorted by position:
2θ/deg	d [Å]	I/Imax
14.16	6.253	4.8
20.08	4.422	4.3
32.00	2.797	8.4
35.15	2.553	2.5
40.81	2.211	100.0
43.41	2.084	3.1
59.09	1.563	16.3
61.10	1.517	3.1
74.31	1.276	32.0
88.43	1.105	10.3

Cell and atoms:
Unit cell a=12.507 b=12.507 c=12.507 alpha=90.00 beta=90.00 gamma=90.00
Space group Fm-3m (No. 225)
One atom of each set of equivalent atoms:
1 Er 0.000 0.000 0.000 (multiplicity 4)
2 Pd 0.000 0.000 0.500 (multiplicity 4)
3 Pd 0.000 0.250 0.250 (multiplicity 24)
4 Pd 0.126 0.126 0.374 (multiplicity 32)
5 Pd 0.134 0.134 0.134 (multiplicity 32)
6 Pt 0.000 0.000 0.246 (multiplicity 24)

---

7.
For ErSi2Pd2Pt, a GGA-PBE-relaxed structure gives the simulated powder diffraction line list in this record (λ = 1.5418 Å (Cu Kα)).

Most intense lines, 2θ = 10–90°, sorted by position:
2θ/deg	d [Å]	I/Imax
19.41	4.573	15.0
27.59	3.233	93.5
37.91	2.373	100.0
39.41	2.286	54.2
55.83	1.647	65.1
56.96	1.617	18.4
64.43	1.446	17.2
70.48	1.336	16.2
81.03	1.187	13.4
83.87	1.154	20.5

Cell and atoms:
Unit cell a=4.573 b=4.573 c=5.553 alpha=90.00 beta=90.00 gamma=90.00
Space group P4/mmm (No. 123)
One atom of each set of equivalent atoms:
1 Er 0.000 0.000 0.000 (multiplicity 1)
2 Si 0.000 0.500 0.500 (multiplicity 2)
3 Pd 0.500 0.500 0.247 (multiplicity 2)
4 Pt 0.000 0.000 0.500 (multiplicity 1)

---

8.
For Er7Pd2Rh2, a GGA-PBE-relaxed structure gives the simulated powder diffraction line list in this record (λ = 1.5418 Å (Cu Kα)).

Most intense lines, 2θ = 10–90°, sorted by position:
2θ/deg	d [Å]	I/Imax
29.28	3.050	20.5
29.47	3.031	19.1
30.80	2.903	53.6
31.48	2.842	31.9
33.96	2.640	42.3
34.96	2.567	100.0
35.30	2.543	40.9
37.23	2.415	19.0
39.21	2.298	26.8
47.57	1.912	28.0

Cell and atoms:
Unit cell a=3.823 b=14.916 c=9.347 alpha=90.00 beta=90.00 gamma=90.00
Space group Imm2 (No. 44)
One atom of each set of equivalent atoms:
1 Er 0.000 0.000 0.000 (multiplicity 2)
2 Er 0.000 0.118 0.398 (multiplicity 4)
3 Er 0.000 0.312 0.607 (multiplicity 4)
4 Er 0.000 0.370 0.244 (multiplicity 4)
5 Pd 0.000 0.000 0.645 (multiplicity 2)
6 Pd 0.000 0.500 0.730 (multiplicity 2)
7 Rh 0.000 0.238 0.901 (multiplicity 4)